Starting from a DFT-relaxed cell (GGA-PBE, Alexandria), the PXRD pattern of PrLuAl was computed for CuKα.
Intensities are scaled so that the largest is 100.

Top 8 peaks for 2θ from 5° to 70°, low angle first:
Position (°2θ), Rel. int.
26.4, 67
32.5, 100
36.4, 42
45.5, 22
54.4, 21
55.3, 15
59.6, 19
63.0, 30

Structural model:
Cell: 7.1862 7.1862 7.1862 Å, 151.89 151.89 40.17°
Element x y z (fractional)
Pr  0.0000  0.0000  0.0000
Lu  0.7048  0.7048  0.0000
Al  0.3421  0.3421  0.0000